This entry pairs a crystal structure of KBeZn with its computed powder X-ray diffraction pattern. Radiation: CuKα. Structure: a structure optimized by DFT (PBE).
Neutral-atom scattering factors, no anomalous dispersion.

Top 8 peaks for 10 to 90 degrees two-theta, in order of rising 2θ:
(hkl)  two_theta  I/Imax
0 0 2  14.69  40.3
0 1 1  23.79  100.0
0 0 4  29.62  73.2
0 1 3  31.82  71.5
1 0 1  33.78  40.6
1 0 3  40.02  37.3
1 1 0  40.31  63.9
1 1 4  50.81  58.9

Structural model:
Lattice parameters (Å, degrees): 2.720 3.935 12.062 90.00 90.00 90.00
Space group Imm2 (No. 44)
One atom of each set of equivalent atoms:
K 0.000 0.000 0.000 (multiplicity 2)
Be 0.000 0.000 0.737 (multiplicity 2)
Zn 0.000 0.000 0.266 (multiplicity 2)

***

This entry pairs a crystal structure of Er3Sb4 with its computed powder X-ray diffraction pattern. Radiation: CuKα. Structure: a structure optimized by DFT (PBE).
Neutral-atom scattering factors, no anomalous dispersion.

Top 8 peaks for 10 to 90 degrees two-theta, in order of rising 2θ:
(hkl)  two_theta  I/Imax
0 1 5  26.18  48.5
0 1 8  30.62  100.0
1 1 0  40.27  72.7
1 0 13  40.41  55.0
2 0 8  51.42  23.4
1 2 8  67.25  20.8
1 1 21  69.72  27.2
3 0 0  73.25  31.3

Structural model:
Lattice parameters (Å, degrees): 4.4795 4.4795 35.4780 90.00 90.00 120.00
Space group R-3m (No. 166, hexagonal axes)
One atom of each set of equivalent atoms:
Er 0.0000 0.0000 0.0000 (multiplicity 3)
Er 0.0000 0.0000 0.2387 (multiplicity 6)
Sb 0.0000 0.0000 0.1460 (multiplicity 6)
Sb 0.0000 0.0000 0.3814 (multiplicity 6)

***

This entry pairs a crystal structure of Na2ZnHgF6 with its computed powder X-ray diffraction pattern. Radiation: CuKα. Structure: a structure optimized by DFT (PBE).
Neutral-atom scattering factors, no anomalous dispersion.

Top 8 peaks for 10 to 90 degrees two-theta, in order of rising 2θ:
(hkl)  two_theta  I/Imax
1 0 0  15.69  33.1
0 0 1  17.02  61.6
1 1 0  22.27  74.5
1 1 1  28.16  100.0
2 0 0  31.69  35.3
2 2 0  45.43  30.4
2 0 2  47.50  32.5
3 1 1  54.31  32.7

Structural model:
Lattice parameters (Å, degrees): 5.647 5.647 5.208 90.00 90.00 90.00
Space group P4mm (No. 99)
One atom of each set of equivalent atoms:
Na 0.000 0.500 0.000 (multiplicity 2)
Zn 0.000 0.000 0.619 (multiplicity 1)
Hg 0.500 0.500 0.578 (multiplicity 1)
F 0.000 0.000 0.253 (multiplicity 1)
F 0.237 0.237 0.758 (multiplicity 4)
F 0.500 0.500 0.164 (multiplicity 1)

***

This entry pairs a crystal structure of Ag5BrCl4 with its computed powder X-ray diffraction pattern. Radiation: CuKα. Structure: a structure optimized by DFT (PBE).
Neutral-atom scattering factors, no anomalous dispersion.

Top 8 peaks for 10 to 90 degrees two-theta, in order of rising 2θ:
(hkl)  two_theta  I/Imax
1 0 0  23.71  82.0
0 0 10  25.51  51.1
0 1 5  26.97  100.0
0 1 10  35.11  34.4
1 1 0  41.69  69.0
1 0 15  45.87  58.2
1 1 10  49.51  46.8
2 1 15  79.06  22.0

Structural model:
Lattice parameters (Å, degrees): 4.3329 4.3329 34.9185 90.00 90.00 120.00
Space group P3m1 (No. 156)
One atom of each set of equivalent atoms:
Ag 0.0000 0.0000 0.0000 (multiplicity 1)
Ag 0.0000 0.0000 0.1959 (multiplicity 1)
Ag 0.0000 0.0000 0.3920 (multiplicity 1)
Ag 0.0000 0.0000 0.5878 (multiplicity 1)
Ag 0.0000 0.0000 0.7939 (multiplicity 1)
Ag 0.6667 0.3333 0.0977 (multiplicity 1)
Ag 0.6667 0.3333 0.2940 (multiplicity 1)
Ag 0.6667 0.3333 0.4899 (multiplicity 1)
Ag 0.6667 0.3333 0.6863 (multiplicity 1)
Ag 0.6667 0.3333 0.8924 (multiplicity 1)
Br 0.6667 0.3333 0.7647 (multiplicity 1)
Br 0.6667 0.3333 0.9704 (multiplicity 1)
Cl 0.0000 0.0000 0.0748 (multiplicity 1)
Cl 0.0000 0.0000 0.2713 (multiplicity 1)
Cl 0.0000 0.0000 0.4677 (multiplicity 1)
Cl 0.0000 0.0000 0.6636 (multiplicity 1)
Cl 0.0000 0.0000 0.8689 (multiplicity 1)
Cl 0.6667 0.3333 0.1730 (multiplicity 1)
Cl 0.6667 0.3333 0.3695 (multiplicity 1)
Cl 0.6667 0.3333 0.5657 (multiplicity 1)

***

This entry pairs a crystal structure of K2CuSCl2O4 with its computed powder X-ray diffraction pattern. Radiation: CuKα. Structure: a structure optimized by DFT (PBE).
Neutral-atom scattering factors, no anomalous dispersion.

Top 8 peaks for 10 to 90 degrees two-theta, in order of rising 2θ:
(hkl)  two_theta  I/Imax
1 0 1  12.47  67.5
1 1 1  18.99  52.3
2 1 0  26.87  46.5
2 0 3  27.85  39.2
0 2 0  28.75  100.0
2 0 5  35.37  41.6
2 2 3  40.46  61.1
4 0 0  46.23  33.9

Structural model:
Lattice parameters (Å, degrees): 7.850 6.210 16.635 90.00 90.00 90.00
Space group Pnma (No. 62)
One atom of each set of equivalent atoms:
K 0.110 0.250 0.213 (multiplicity 4)
K 0.123 0.250 0.594 (multiplicity 4)
Cu 0.124 0.250 0.961 (multiplicity 4)
S 0.136 0.250 0.803 (multiplicity 4)
Cl 0.097 0.750 0.954 (multiplicity 4)
Cl 0.161 0.750 0.552 (multiplicity 4)
O 0.019 0.750 0.142 (multiplicity 4)
O 0.140 0.054 0.753 (multiplicity 8)
O 0.219 0.750 0.364 (multiplicity 4)

***

This entry pairs a crystal structure of SrBi with its computed powder X-ray diffraction pattern. Radiation: CuKα. Structure: a structure optimized by DFT (PBE).
Neutral-atom scattering factors, no anomalous dispersion.

Top 8 peaks for 10 to 90 degrees two-theta, in order of rising 2θ:
(hkl)  two_theta  I/Imax
0 2 0  19.27  30.2
1 0 2  22.09  14.8
2 0 0  28.91  14.5
1 2 2  29.51  100.0
2 1 1  31.71  15.1
0 0 4  33.78  27.1
0 4 0  39.22  17.6
1 2 6  57.84  14.0

Structural model:
Lattice parameters (Å, degrees): 6.176 9.187 10.609 90.00 90.00 90.00
Space group Pbca (No. 61)
One atom of each set of equivalent atoms:
Sr 0.191 0.227 0.125 (multiplicity 8)
Bi 0.179 0.008 0.385 (multiplicity 8)

***

This entry pairs a crystal structure of Cd2Sn2Pd7 with its computed powder X-ray diffraction pattern. Radiation: CuKα. Structure: a structure optimized by DFT (PBE).
Neutral-atom scattering factors, no anomalous dispersion.

Top 8 peaks for 10 to 90 degrees two-theta, in order of rising 2θ:
(hkl)  two_theta  I/Imax
0 2 1  24.20  29.1
2 0 1  26.84  59.6
2 2 0  29.38  25.7
1 1 2  33.50  31.2
0 4 0  38.52  55.2
2 2 2  42.49  100.0
1 3 2  43.53  35.3
4 0 0  45.32  24.9

Structural model:
Lattice parameters (Å, degrees): 8.004 9.348 5.957 90.00 90.00 90.00
Space group Cmmm (No. 65)
One atom of each set of equivalent atoms:
Cd 0.183 0.000 0.000 (multiplicity 4)
Sn 0.000 0.283 0.500 (multiplicity 4)
Pd 0.000 0.000 0.500 (multiplicity 2)
Pd 0.000 0.500 0.224 (multiplicity 4)
Pd 0.250 0.250 0.230 (multiplicity 8)

***

This entry pairs a crystal structure of Pu2InSn9 with its computed powder X-ray diffraction pattern. Radiation: CuKα. Structure: a structure optimized by DFT (PBE).
Neutral-atom scattering factors, no anomalous dispersion.

Top 8 peaks for 10 to 90 degrees two-theta, in order of rising 2θ:
(hkl)  two_theta  I/Imax
0 1 3  32.72  100.0
2 1 0  33.05  55.7
2 1 -1  34.12  16.2
0 2 0  35.42  43.8
2 0 -3  38.86  15.2
2 0 3  40.07  15.7
0 3 3  61.89  16.7
4 1 3  68.56  22.6

Structural model:
Lattice parameters (Å, degrees): 6.416 5.069 9.760 90.00 91.68 90.00
Space group P2/m (No. 10)
One atom of each set of equivalent atoms:
Pu 0.245 0.000 0.315 (multiplicity 2)
In 0.500 0.000 0.000 (multiplicity 1)
Sn 0.000 0.000 0.000 (multiplicity 1)
Sn 0.000 0.500 0.500 (multiplicity 1)
Sn 0.029 0.500 0.822 (multiplicity 2)
Sn 0.254 0.000 0.659 (multiplicity 2)
Sn 0.496 0.500 0.824 (multiplicity 2)
Sn 0.500 0.500 0.500 (multiplicity 1)

***

This entry pairs a crystal structure of TbYHo2Tm2 with its computed powder X-ray diffraction pattern. Radiation: CuKα. Structure: a structure optimized by DFT (PBE).
Neutral-atom scattering factors, no anomalous dispersion.

Top 8 peaks for 10 to 90 degrees two-theta, in order of rising 2θ:
(hkl)  two_theta  I/Imax
2 2 0  28.11  39.6
0 3 1  30.70  100.0
0 6 0  33.71  36.0
2 4 0  34.31  47.0
2 1 1  37.06  56.7
2 7 1  54.98  30.3
4 3 1  62.43  26.5
4 6 0  64.28  37.4

Structural model:
Lattice parameters (Å, degrees): 6.921 15.953 3.481 90.00 90.00 90.00
Space group Pnnm (No. 58)
One atom of each set of equivalent atoms:
Tb 0.000 0.000 0.000 (multiplicity 2)
Y 0.000 0.500 0.500 (multiplicity 2)
Ho 0.250 0.158 0.500 (multiplicity 4)
Tm 0.249 0.845 0.500 (multiplicity 4)

***

This entry pairs a crystal structure of KHg2Pb2 with its computed powder X-ray diffraction pattern. Radiation: CuKα. Structure: a structure optimized by DFT (PBE).
Neutral-atom scattering factors, no anomalous dispersion.

Top 8 peaks for 10 to 90 degrees two-theta, in order of rising 2θ:
(hkl)  two_theta  I/Imax
0 1 0  14.09  70.1
1 0 -1  15.26  89.1
1 1 -2  27.23  87.6
2 -2 0  28.43  75.1
-1 2 1  29.21  56.7
2 0 1  34.20  100.0
3 -2 0  37.90  52.7
1 -2 3  39.77  82.0

Structural model:
Lattice parameters (Å, degrees): 7.382 7.396 8.089 101.10 100.98 116.37
Space group P-1 (No. 2)
One atom of each set of equivalent atoms:
K 0.115 0.386 0.250 (multiplicity 2)
Hg 0.173 0.327 0.750 (multiplicity 2)
Hg 0.388 0.110 0.250 (multiplicity 2)
Pb 0.241 0.967 0.539 (multiplicity 2)
Pb 0.467 0.741 0.038 (multiplicity 2)